The following is a computed X-ray powder pattern of Li4TlCu. It was derived from the PBE geometry in Alexandria, using Cu Kα (weighted mean of Kα1 and Kα2).

Peak list (6 most intense, 2θ from 10° to 80°, in order of falling intensity)
d 3.953, I 100
d 2.356, I 57
d 7.688, I 55
d 3.844, I 45
d 2.240, I 26
d 2.933, I 24

```
Li4TlCu
1.0
2.9333 0.0000 0.0000
0.0000 4.6093 0.0000
-0.0249 0.0000 7.6883
Li Tl Cu
4 1 1
Direct
0.0000 0.0000 0.0000
0.0009 0.5000 0.4396
0.5023 0.0000 0.2990
0.9982 0.5000 0.8185
0.4977 0.0000 0.6588
0.5007 0.5000 0.1231
```

The following is a computed X-ray powder pattern of LiTm3Cu2. It was derived from the PBE geometry in Alexandria, using Cu Kα (weighted mean of Kα1 and Kα2).

Peak list (6 most intense, 2θ from 10° to 80°, in order of falling intensity)
d 2.477, I 100
d 2.448, I 51
d 3.461, I 40
d 1.419, I 34
d 3.547, I 19
d 1.731, I 18

```
LiTm3Cu2
1.0
3.4613 0.0000 0.0000
0.0000 3.4613 0.0000
0.0000 0.0000 10.6414
Li Tm Cu
1 3 2
Direct
0.0000 0.0000 0.0000
0.5000 0.5000 0.1849
0.5000 0.5000 0.5000
0.5000 0.5000 0.8151
0.0000 0.0000 0.3349
0.0000 0.0000 0.6651
```

The following is a computed X-ray powder pattern of LiTmZn6Cu. It was derived from the PBE geometry in Alexandria, using Cu Kα (weighted mean of Kα1 and Kα2).

Peak list (6 most intense, 2θ from 10° to 80°, in order of falling intensity)
d 2.680, I 100
d 2.559, I 99
d 6.755, I 82
d 2.173, I 58
d 2.399, I 38
d 2.107, I 35

```
LiTmZn6Cu
1.0
-3.4037 4.3465 5.3660
3.4037 -4.3465 5.3660
3.4037 4.3465 -5.3660
Li Tm Zn Cu
2 2 12 2
Direct
0.5000 0.0000 0.0000
0.5000 0.5000 0.5000
0.0494 0.2994 0.7500
0.9506 0.7006 0.2500
0.1117 0.3160 0.1768
0.1117 0.9349 0.7956
0.2589 0.0089 0.2500
0.3251 0.5751 0.7500
0.3607 0.0651 0.6768
0.3607 0.6840 0.2956
0.6393 0.3160 0.7044
0.6393 0.9349 0.3232
0.6749 0.4249 0.2500
0.7411 0.9911 0.7500
0.8883 0.0651 0.2044
0.8883 0.6840 0.8232
0.0000 0.5000 0.5000
0.5000 0.5000 0.0000
```

The following is a computed X-ray powder pattern of Li2CuW. It was derived from the PBE geometry in Alexandria, using Cu Kα (weighted mean of Kα1 and Kα2).

Peak list (6 most intense, 2θ from 10° to 80°, in order of falling intensity)
d 2.199, I 100
d 2.409, I 63
d 1.945, I 44
d 4.662, I 33
d 2.331, I 29
d 3.108, I 27

```
Li2CuW
1.0
1.5451 -2.1123 0.0000
1.5451 2.1123 0.0000
0.0000 0.0000 9.3241
Li Cu W
2 1 1
Direct
0.0000 0.0000 0.0000
0.5000 0.5000 0.2825
0.0000 0.0000 0.5112
0.5000 0.5000 0.7451
```

The following is a computed X-ray powder pattern of LiYCu5. It was derived from the PBE geometry in Alexandria, using Cu Kα (weighted mean of Kα1 and Kα2).

Peak list (6 most intense, 2θ from 10° to 80°, in order of falling intensity)
d 2.317, I 100
d 1.982, I 49
d 1.975, I 28
d 2.439, I 24
d 2.275, I 20
d 4.549, I 20

```
LiYCu5
1.0
8.0718 0.0000 0.0000
0.0000 5.0786 0.0000
0.0000 0.0000 10.2335
Li Y Cu
4 4 20
Direct
0.1388 0.2500 0.1395
0.3612 0.7500 0.6395
0.6388 0.2500 0.3605
0.8612 0.7500 0.8605
0.2455 0.7500 0.9369
0.2545 0.2500 0.4369
0.7455 0.7500 0.5631
0.7545 0.2500 0.0631
0.0594 0.2500 0.9010
0.0686 0.5056 0.6891
0.0686 0.9944 0.6891
0.0934 0.7500 0.4831
0.1831 0.7500 0.2504
0.3169 0.2500 0.7504
0.4066 0.2500 0.9831
0.4314 0.0056 0.1891
0.4314 0.4944 0.1891
0.4406 0.7500 0.4010
0.5594 0.2500 0.5990
0.5686 0.5056 0.8109
0.5686 0.9944 0.8109
0.5934 0.7500 0.0169
0.6831 0.7500 0.2496
0.8169 0.2500 0.7496
0.9066 0.2500 0.5169
0.9314 0.0056 0.3109
0.9314 0.4944 0.3109
0.9406 0.7500 0.0990
```

The following is a computed X-ray powder pattern of Li3YCu3. It was derived from the PBE geometry in Alexandria, using Cu Kα (weighted mean of Kα1 and Kα2).

Peak list (6 most intense, 2θ from 10° to 80°, in order of falling intensity)
d 2.595, I 100
d 2.842, I 78
d 1.699, I 53
d 3.178, I 44
d 1.589, I 19
d 1.763, I 18

```
Li3YCu3
1.0
6.3553 0.0000 0.0000
0.0000 6.3553 0.0000
0.0000 0.0000 6.3553
Li Y Cu
6 2 6
Direct
0.0000 0.2500 0.5000
0.0000 0.7500 0.5000
0.2500 0.5000 0.0000
0.5000 0.0000 0.2500
0.5000 0.0000 0.7500
0.7500 0.5000 0.0000
0.0000 0.0000 0.0000
0.5000 0.5000 0.5000
0.0000 0.5000 0.2500
0.0000 0.5000 0.7500
0.2500 0.0000 0.5000
0.5000 0.2500 0.0000
0.5000 0.7500 0.0000
0.7500 0.0000 0.5000
```

The following is a computed X-ray powder pattern of LiY2Cu2. It was derived from the PBE geometry in Alexandria, using Cu Kα (weighted mean of Kα1 and Kα2).

Peak list (6 most intense, 2θ from 10° to 80°, in order of falling intensity)
d 2.177, I 100
d 3.464, I 64
d 2.505, I 40
d 2.404, I 36
d 3.034, I 35
d 1.766, I 28

```
LiY2Cu2
1.0
-1.7661 1.7661 8.8851
1.7661 -1.7661 8.8851
1.7661 1.7661 -8.8851
Li Y Cu
1 2 2
Direct
0.0000 0.0000 0.0000
0.3826 0.3826 0.0000
0.6174 0.6174 0.0000
0.2500 0.7500 0.5000
0.7500 0.2500 0.5000
```

The following is a computed X-ray powder pattern of Li2YCu9. It was derived from the PBE geometry in Alexandria, using Cu Kα (weighted mean of Kα1 and Kα2).

Peak list (6 most intense, 2θ from 10° to 80°, in order of falling intensity)
d 2.316, I 100
d 2.015, I 100
d 2.048, I 80
d 4.909, I 78
d 2.113, I 65
d 2.520, I 43

```
Li2YCu9
1.0
8.3065 0.0000 0.0000
0.0000 8.3065 0.0000
0.0000 0.0000 4.9086
Li Y Cu
4 2 18
Direct
0.1141 0.3859 0.0000
0.3859 0.8859 0.0000
0.6141 0.1141 0.0000
0.8859 0.6141 0.0000
0.0000 0.0000 0.0000
0.5000 0.5000 0.0000
0.0000 0.5000 0.5000
0.0606 0.2089 0.5000
0.1812 0.6812 0.2426
0.1812 0.6812 0.7574
0.2089 0.9394 0.5000
0.2911 0.4394 0.5000
0.3188 0.1812 0.2426
0.3188 0.1812 0.7574
0.4394 0.7089 0.5000
0.5000 0.0000 0.5000
0.5606 0.2911 0.5000
0.6812 0.8188 0.2426
0.6812 0.8188 0.7574
0.7089 0.5606 0.5000
0.7911 0.0606 0.5000
0.8188 0.3188 0.2426
0.8188 0.3188 0.7574
0.9394 0.7911 0.5000
```

Copy entry 6 word for word.
The following is a computed X-ray powder pattern of Li3YCu3. It was derived from the PBE geometry in Alexandria, using Cu Kα (weighted mean of Kα1 and Kα2).

Peak list (6 most intense, 2θ from 10° to 80°, in order of falling intensity)
d 2.595, I 100
d 2.842, I 78
d 1.699, I 53
d 3.178, I 44
d 1.589, I 19
d 1.763, I 18

```
Li3YCu3
1.0
6.3553 0.0000 0.0000
0.0000 6.3553 0.0000
0.0000 0.0000 6.3553
Li Y Cu
6 2 6
Direct
0.0000 0.2500 0.5000
0.0000 0.7500 0.5000
0.2500 0.5000 0.0000
0.5000 0.0000 0.2500
0.5000 0.0000 0.7500
0.7500 0.5000 0.0000
0.0000 0.0000 0.0000
0.5000 0.5000 0.5000
0.0000 0.5000 0.2500
0.0000 0.5000 0.7500
0.2500 0.0000 0.5000
0.5000 0.2500 0.0000
0.5000 0.7500 0.0000
0.7500 0.0000 0.5000
```